# LiDy2Pd
Theoretical X-ray powder pattern, Cu Kα X-rays. Input: a cell relaxed with PBE.
Peak positions follow from Bragg's law for the DFT cell and can differ from measured ones.

Crystal structure
a = 4.9429 Å, b = 4.9429 Å, c = 3.6543 Å
α = 90.00°, β = 90.00°, γ = 90.00°
Sites, in units of the cell vectors:
Li  0.0000  0.0000  0.0000
Dy  0.0000  0.5000  0.5000
Dy  0.5000  0.0000  0.5000
Pd  0.5000  0.5000  0.0000

Top 12 peaks for 10° ≤ 2θ ≤ 90°, low angle first:
- 17.9 deg, I = 16, (1 0 0)
- 24.4 deg, I = 15, (0 0 1)
- 25.5 deg, I = 27, (1 1 0)
- 30.4 deg, I = 9, (1 0 1)
- 35.5 deg, I = 100, (1 1 1)
- 36.4 deg, I = 47, (2 0 0)
- 44.2 deg, I = 12, (2 0 1)
- 49.9 deg, I = 10, (0 0 2)
- 52.4 deg, I = 17, (2 2 0)
- 63.3 deg, I = 19, (2 0 2)
- 64.9 deg, I = 35, (3 1 1)
- 75.2 deg, I = 11, (2 2 2)